[1]
Starting from a PBE-relaxed structure, the X-ray powder pattern of Hf2Zr5Sn2 was computed for Cu Kα (weighted mean of Kα1 and Kα2).
Peak positions follow from Bragg's law for the DFT cell and can differ from measured ones.

Main lines, in order of falling intensity (2θ from 10° to 90°):
- 2θ = 35.60°, rel. 100
- 2θ = 30.79°, rel. 93
- 2θ = 35.12°, rel. 92
- 2θ = 37.92°, rel. 85
- 2θ = 38.60°, rel. 84
- 2θ = 36.80°, rel. 76
- 2θ = 59.54°, rel. 71
- 2θ = 37.43°, rel. 51
- 2θ = 31.52°, rel. 45
- 2θ = 44.45°, rel. 32

Cell and atoms:
```
Hf2Zr5Sn2
1.0
-3.0402 9.0276 3.7940
3.0402 -9.0276 3.7940
3.0402 9.0276 -3.7940
Hf Zr Sn
4 10 4
Direct
0.1705 0.1190 0.0515
0.4326 0.8810 0.5515
0.5674 0.1190 0.4485
0.8295 0.8810 0.9485
0.1400 0.0000 0.6400
0.1400 0.5000 0.1400
0.1905 0.9405 0.2500
0.4213 0.0000 0.9213
0.4213 0.5000 0.4213
0.5787 0.0000 0.0787
0.5787 0.5000 0.5787
0.8095 0.0595 0.7500
0.8600 0.0000 0.3600
0.8600 0.5000 0.8600
0.0000 0.5000 0.5000
0.1943 0.4443 0.7500
0.5000 0.5000 0.0000
0.8057 0.5557 0.2500
```



[2]
Starting from a PBE-relaxed structure, the X-ray powder pattern of HfZr5Sn3 was computed for Cu Kα (weighted mean of Kα1 and Kα2).
Peak positions follow from Bragg's law for the DFT cell and can differ from measured ones.

Main lines, in order of falling intensity (2θ from 10° to 90°):
- 2θ = 33.59°, rel. 100
- 2θ = 32.21°, rel. 63
- 2θ = 34.37°, rel. 40
- 2θ = 39.97°, rel. 22
- 2θ = 47.05°, rel. 21
- 2θ = 40.37°, rel. 18
- 2θ = 61.06°, rel. 17
- 2θ = 59.55°, rel. 15
- 2θ = 50.88°, rel. 15
- 2θ = 61.84°, rel. 13

Cell and atoms:
```
HfZr5Sn3
1.0
-3.6900 3.6900 7.7261
3.6900 -3.6900 7.7261
3.6900 3.6900 -7.7261
Hf Zr Sn
2 10 6
Direct
0.2500 0.7500 0.5000
0.7500 0.2500 0.5000
0.0000 0.0000 0.0000
0.0625 0.5625 0.8920
0.1704 0.0625 0.5000
0.3296 0.8296 0.8920
0.4375 0.3296 0.5000
0.5000 0.5000 0.0000
0.5625 0.6704 0.5000
0.6704 0.1704 0.1080
0.8296 0.9375 0.5000
0.9375 0.4375 0.1080
0.1273 0.3727 0.5000
0.2500 0.2500 0.0000
0.3727 0.8727 0.2453
0.6273 0.1273 0.7547
0.7500 0.7500 0.0000
0.8727 0.6273 0.5000
```



[3]
Starting from a PBE-relaxed structure, the X-ray powder pattern of SrHfTe3 was computed for Cu Kα (weighted mean of Kα1 and Kα2).
Peak positions follow from Bragg's law for the DFT cell and can differ from measured ones.

Main lines, in order of falling intensity (2θ from 10° to 90°):
- 2θ = 16.20°, rel. 100
- 2θ = 32.72°, rel. 96
- 2θ = 41.38°, rel. 71
- 2θ = 35.69°, rel. 64
- 2θ = 27.57°, rel. 60
- 2θ = 27.17°, rel. 48
- 2θ = 36.75°, rel. 36
- 2θ = 36.68°, rel. 35
- 2θ = 49.16°, rel. 34
- 2θ = 30.10°, rel. 32

Cell and atoms:
```
SrHfTe3
1.0
8.0163 0.0000 0.0000
0.0000 10.9614 0.0000
0.0000 0.0000 7.4715
Sr Hf Te
4 4 12
Direct
0.1067 0.2500 0.0429
0.3933 0.7500 0.5429
0.6067 0.2500 0.4571
0.8933 0.7500 0.9571
0.0000 0.0000 0.5000
0.0000 0.5000 0.5000
0.5000 0.0000 0.0000
0.5000 0.5000 0.0000
0.0113 0.7500 0.3842
0.1854 0.5532 0.8237
0.1854 0.9468 0.8237
0.3146 0.0532 0.3237
0.3146 0.4468 0.3237
0.4887 0.2500 0.8842
0.5113 0.7500 0.1158
0.6854 0.5532 0.6763
0.6854 0.9468 0.6763
0.8146 0.0532 0.1763
0.8146 0.4468 0.1763
0.9887 0.2500 0.6158
```



[4]
Starting from a PBE-relaxed structure, the X-ray powder pattern of SrHfTe3 was computed for Cu Kα (weighted mean of Kα1 and Kα2).
Peak positions follow from Bragg's law for the DFT cell and can differ from measured ones.

Main lines, in order of falling intensity (2θ from 10° to 90°):
- 2θ = 26.33°, rel. 100
- 2θ = 34.25°, rel. 95
- 2θ = 40.67°, rel. 48
- 2θ = 15.67°, rel. 42
- 2θ = 44.73°, rel. 32
- 2θ = 31.64°, rel. 21
- 2θ = 13.93°, rel. 21
- 2θ = 21.27°, rel. 20
- 2θ = 39.57°, rel. 19
- 2θ = 12.37°, rel. 19

Cell and atoms:
```
SrHfTe3
1.0
3.8424 2.2184 7.1537
-3.8424 2.2184 7.1537
0.0000 -4.4368 7.1537
Sr Hf Te
2 2 6
Direct
0.1433 0.1433 0.1433
0.8567 0.8567 0.8567
0.3348 0.3348 0.3348
0.6652 0.6652 0.6652
0.0749 0.6906 0.4684
0.3094 0.5316 0.9251
0.4684 0.0749 0.6906
0.5316 0.9251 0.3094
0.6906 0.4684 0.0749
0.9251 0.3094 0.5316
```



[5]
Starting from a PBE-relaxed structure, the X-ray powder pattern of SrHfTe3 was computed for Cu Kα (weighted mean of Kα1 and Kα2).
Peak positions follow from Bragg's law for the DFT cell and can differ from measured ones.

Main lines, in order of falling intensity (2θ from 10° to 90°):
- 2θ = 32.56°, rel. 100
- 2θ = 26.15°, rel. 93
- 2θ = 10.97°, rel. 75
- 2θ = 41.60°, rel. 42
- 2θ = 41.28°, rel. 36
- 2θ = 14.08°, rel. 33
- 2θ = 53.79°, rel. 19
- 2θ = 70.22°, rel. 17
- 2θ = 62.91°, rel. 15
- 2θ = 43.15°, rel. 14

Cell and atoms:
```
SrHfTe3
1.0
7.5194 0.0000 0.0000
-3.7585 6.5147 0.0000
-3.7517 -2.1722 8.0645
Sr Hf Te
2 2 6
Direct
0.0000 0.0000 0.0000
0.0000 0.5000 0.5000
0.3341 0.1669 0.5010
0.6659 0.8331 0.4990
0.1422 0.1974 0.7126
0.2329 0.4299 0.2873
0.4848 0.0545 0.2877
0.5152 0.9455 0.7123
0.7671 0.5701 0.7127
0.8578 0.8026 0.2874
```



[6]
Starting from a PBE-relaxed structure, the X-ray powder pattern of SrHfTe3 was computed for Cu Kα (weighted mean of Kα1 and Kα2).
Peak positions follow from Bragg's law for the DFT cell and can differ from measured ones.

Main lines, in order of falling intensity (2θ from 10° to 90°):
- 2θ = 34.44°, rel. 100
- 2θ = 25.85°, rel. 99
- 2θ = 12.84°, rel. 94
- 2θ = 39.20°, rel. 53
- 2θ = 53.16°, rel. 46
- 2θ = 36.89°, rel. 42
- 2θ = 68.02°, rel. 36
- 2θ = 47.55°, rel. 28
- 2θ = 45.61°, rel. 22
- 2θ = 74.08°, rel. 19

Cell and atoms:
```
SrHfTe3
1.0
7.9615 0.0000 0.0000
-3.9807 6.8949 0.0000
0.0000 0.0000 6.8868
Sr Hf Te
2 2 6
Direct
0.3333 0.6667 0.0000
0.6667 0.3333 0.5000
0.0000 0.0000 0.0249
0.0000 0.0000 0.5249
0.0285 0.7212 0.2898
0.2788 0.3073 0.2898
0.3073 0.0285 0.7898
0.6927 0.9715 0.2898
0.7212 0.6927 0.7898
0.9715 0.2788 0.7898
```



[7]
Starting from a PBE-relaxed structure, the X-ray powder pattern of SrY2HfTl was computed for Cu Kα (weighted mean of Kα1 and Kα2).
Peak positions follow from Bragg's law for the DFT cell and can differ from measured ones.

Main lines, in order of falling intensity (2θ from 10° to 90°):
- 2θ = 15.89°, rel. 100
- 2θ = 32.10°, rel. 95
- 2θ = 45.17°, rel. 74
- 2θ = 27.38°, rel. 60
- 2θ = 30.92°, rel. 53
- 2θ = 22.55°, rel. 43
- 2θ = 56.49°, rel. 38
- 2θ = 46.04°, rel. 35
- 2θ = 34.95°, rel. 30
- 2θ = 36.02°, rel. 28

Cell and atoms:
```
SrY2HfTl
1.0
5.5760 0.0000 0.0000
0.0000 5.5760 0.0000
0.0000 0.0000 5.7841
Sr Y Hf Tl
1 2 1 1
Direct
0.0000 0.0000 0.0000
0.0000 0.5000 0.5000
0.5000 0.0000 0.5000
0.5000 0.5000 0.5000
0.5000 0.5000 0.0000
```



[8]
Starting from a PBE-relaxed structure, the X-ray powder pattern of HfTa was computed for Cu Kα (weighted mean of Kα1 and Kα2).
Peak positions follow from Bragg's law for the DFT cell and can differ from measured ones.

Main lines, in order of falling intensity (2θ from 10° to 90°):
- 2θ = 37.00°, rel. 100
- 2θ = 36.40°, rel. 95
- 2θ = 37.90°, rel. 94
- 2θ = 54.68°, rel. 32
- 2θ = 67.91°, rel. 17
- 2θ = 68.21°, rel. 17
- 2θ = 51.02°, rel. 16
- 2θ = 67.52°, rel. 16
- 2θ = 65.31°, rel. 15
- 2θ = 67.05°, rel. 13

Cell and atoms:
```
HfTa
1.0
3.0070 0.0000 0.0000
0.0000 4.7441 0.0000
-1.3837 0.0000 5.6577
Hf Ta
2 2
Direct
0.1499 0.2500 0.3577
0.8501 0.7500 0.6423
0.4319 0.7500 0.1170
0.5681 0.2500 0.8830
```



[9]
Starting from a PBE-relaxed structure, the X-ray powder pattern of HfTa3Tc4 was computed for Cu Kα (weighted mean of Kα1 and Kα2).
Peak positions follow from Bragg's law for the DFT cell and can differ from measured ones.

Main lines, in order of falling intensity (2θ from 10° to 90°):
- 2θ = 39.79°, rel. 100
- 2θ = 72.22°, rel. 34
- 2θ = 57.53°, rel. 17
- 2θ = 27.84°, rel. 10
- 2θ = 85.76°, rel. 9
- 2θ = 65.10°, rel. 4
- 2θ = 49.26°, rel. 3
- 2θ = 85.83°, rel. 2

Cell and atoms:
```
HfTa3Tc4
1.0
3.2038 0.0000 0.0000
0.0000 4.5341 0.0000
0.0000 0.0000 9.0578
Hf Ta Tc
1 3 4
Direct
0.0000 0.0000 0.0000
0.0000 0.0000 0.5000
0.0000 0.5000 0.2507
0.0000 0.5000 0.7493
0.5000 0.0000 0.2564
0.5000 0.0000 0.7436
0.5000 0.5000 0.0000
0.5000 0.5000 0.5000
```



[10]
Starting from a PBE-relaxed structure, the X-ray powder pattern of HfTaTi2 was computed for Cu Kα (weighted mean of Kα1 and Kα2).
Peak positions follow from Bragg's law for the DFT cell and can differ from measured ones.

Main lines, in order of falling intensity (2θ from 10° to 90°):
- 2θ = 37.78°, rel. 100
- 2θ = 18.33°, rel. 90
- 2θ = 40.84°, rel. 78
- 2θ = 34.49°, rel. 50
- 2θ = 37.16°, rel. 48
- 2θ = 34.92°, rel. 36
- 2θ = 61.53°, rel. 33
- 2θ = 74.07°, rel. 25
- 2θ = 65.29°, rel. 20
- 2θ = 36.58°, rel. 18

Cell and atoms:
```
HfTaTi2
1.0
5.2177 0.0000 0.0000
0.0000 3.0164 0.0000
-1.7190 0.0000 9.6781
Hf Ta Ti
2 2 4
Direct
0.0000 0.0000 0.0000
0.5000 0.5000 0.0000
0.1650 0.0000 0.4980
0.6650 0.5000 0.4980
0.0796 0.5000 0.7391
0.2517 0.5000 0.2579
0.5796 0.0000 0.7391
0.7517 0.0000 0.2579
```



[11]
Starting from a PBE-relaxed structure, the X-ray powder pattern of Hf2TaV9 was computed for Cu Kα (weighted mean of Kα1 and Kα2).
Peak positions follow from Bragg's law for the DFT cell and can differ from measured ones.

Main lines, in order of falling intensity (2θ from 10° to 90°):
- 2θ = 41.34°, rel. 100
- 2θ = 34.25°, rel. 65
- 2θ = 32.96°, rel. 58
- 2θ = 39.94°, rel. 40
- 2θ = 36.15°, rel. 36
- 2θ = 19.93°, rel. 30
- 2θ = 66.17°, rel. 24
- 2θ = 60.51°, rel. 21
- 2θ = 72.16°, rel. 20
- 2θ = 62.57°, rel. 13

Cell and atoms:
```
Hf2TaV9
1.0
2.6183 1.5116 7.9218
-2.6183 1.5116 7.9218
0.0000 -3.0233 7.9218
Hf Ta V
2 1 9
Direct
0.1441 0.1441 0.1441
0.8559 0.8559 0.8559
0.0000 0.0000 0.0000
0.0788 0.5820 0.5820
0.3329 0.3329 0.3329
0.4180 0.4180 0.9212
0.4180 0.9212 0.4180
0.5000 0.5000 0.5000
0.5820 0.0788 0.5820
0.5820 0.5820 0.0788
0.6671 0.6671 0.6671
0.9212 0.4180 0.4180
```



[12]
Starting from a PBE-relaxed structure, the X-ray powder pattern of Hf2Ta2V15 was computed for Cu Kα (weighted mean of Kα1 and Kα2).
Peak positions follow from Bragg's law for the DFT cell and can differ from measured ones.

Main lines, in order of falling intensity (2θ from 10° to 90°):
- 2θ = 34.64°, rel. 100
- 2θ = 40.22°, rel. 99
- 2θ = 19.80°, rel. 92
- 2θ = 41.00°, rel. 71
- 2θ = 36.84°, rel. 58
- 2θ = 42.17°, rel. 50
- 2θ = 30.75°, rel. 41
- 2θ = 42.92°, rel. 37
- 2θ = 70.84°, rel. 29
- 2θ = 77.84°, rel. 28

Cell and atoms:
```
Hf2Ta2V15
1.0
4.4848 2.5893 4.1807
-4.4848 2.5893 4.1807
0.0000 -5.1786 4.1807
Hf Ta V
2 2 15
Direct
0.1604 0.1604 0.1604
0.8396 0.8396 0.8396
0.3952 0.3952 0.3952
0.6048 0.6048 0.6048
0.0000 0.5000 0.5000
0.1414 0.1414 0.6614
0.1414 0.6614 0.1414
0.1943 0.5000 0.8057
0.1943 0.8057 0.5000
0.3386 0.8586 0.8586
0.5000 0.0000 0.5000
0.5000 0.1943 0.8057
0.5000 0.5000 0.0000
0.5000 0.8057 0.1943
0.6614 0.1414 0.1414
0.8057 0.1943 0.5000
0.8057 0.5000 0.1943
0.8586 0.3386 0.8586
0.8586 0.8586 0.3386
```



- Number 8 is which compound?
  HfTa



- Number 2 is which compound?
  HfZr5Sn3



- Which formula does entry 10 have?
  HfTaTi2